No. 1
KMg6TiO8: simulated powder XRD pattern (Cu Kα, 1.54184 Å), based on the PBE geometry in Alexandria.
Kinematic intensities with the Lorentz-polarization factor, no thermal factor.

Crystal structure
```
KMg6TiO8
1.0
4.4988 0.0000 0.0000
0.0000 4.4988 0.0000
0.0000 0.0000 8.6212
K Mg Ti O
1 6 1 8
Direct
0.0000 0.0000 0.0000
0.0000 0.5000 0.2425
0.0000 0.5000 0.7575
0.5000 0.0000 0.2425
0.5000 0.0000 0.7575
0.5000 0.5000 0.0000
0.5000 0.5000 0.5000
0.0000 0.0000 0.5000
0.0000 0.0000 0.2798
0.0000 0.0000 0.7202
0.0000 0.5000 0.0000
0.0000 0.5000 0.5000
0.5000 0.0000 0.0000
0.5000 0.0000 0.5000
0.5000 0.5000 0.2530
0.5000 0.5000 0.7470
```

Peak list (10 most intense, 5 to 70 degrees two-theta, low angle first)
d/Å  I (rel.)
4.499  7
4.311  4
3.181  3
3.112  6
2.560  26
2.249  100
2.155  41
1.591  29
1.556  50
1.351  10

=====

No. 2
CaTb4ErSe8: simulated powder XRD pattern (Cu Kα, 1.54184 Å), based on the PBE geometry in Alexandria.
Kinematic intensities with the Lorentz-polarization factor, no thermal factor.

Crystal structure
```
CaTb4ErSe8
1.0
4.2386 2.4472 6.9017
-4.2386 2.4472 6.9017
0.0000 -4.8943 6.9017
Ca Tb Er Se
1 4 1 8
Direct
0.0000 0.0000 0.0000
0.1186 0.6269 0.6269
0.2494 0.2494 0.2494
0.6269 0.1186 0.6269
0.6269 0.6269 0.1186
0.6271 0.6271 0.6271
0.3824 0.3824 0.3824
0.3850 0.3850 0.8498
0.3850 0.8498 0.3850
0.4045 0.8632 0.8632
0.8498 0.3850 0.3850
0.8632 0.4045 0.8632
0.8632 0.8632 0.4045
0.8652 0.8652 0.8652
```

Peak list (10 most intense, 5 to 70 degrees two-theta, low angle first)
d/Å  I (rel.)
6.916  36
4.235  14
3.611  83
2.994  72
2.305  47
2.117  100
1.828  9
1.730  13
1.560  15
1.497  16

=====

No. 3
BaSnRu2O8: simulated powder XRD pattern (Cu Kα, 1.54184 Å), based on the PBE geometry in Alexandria.
Kinematic intensities with the Lorentz-polarization factor, no thermal factor.

Crystal structure
```
BaSnRu2O8
1.0
5.5126 0.0000 0.0000
-2.7563 4.7741 0.0000
0.0000 0.0000 7.6923
Ba Sn Ru O
1 1 2 8
Direct
0.0000 0.0000 0.0000
0.0000 0.0000 0.5000
0.3333 0.6667 0.7382
0.6667 0.3333 0.2618
0.0454 0.3132 0.6770
0.2679 0.9546 0.6770
0.3132 0.2679 0.3230
0.3333 0.6667 0.9707
0.6667 0.3333 0.0293
0.6868 0.7321 0.6770
0.7321 0.0454 0.3230
0.9546 0.6868 0.3230
```

Peak list (10 most intense, 5 to 70 degrees two-theta, low angle first)
d/Å  I (rel.)
4.774  31
4.056  78
2.995  100
2.756  74
2.259  11
2.028  38
1.757  14
1.634  37
1.591  20
1.577  32